No. 1
CsHg3Pt: simulated powder XRD pattern (λ = 1.5418 Å (Cu Kα)), based on a structure optimized by DFT (PBE).
No peak broadening, texture or thermal motion is included.

Largest 8 diffraction maxima, in order of falling intensity, 10° ≤ 2θ ≤ 90°:
31.60°, intensity 1000
12.41°, intensity 591
34.81°, intensity 490
30.03°, intensity 432
28.35°, intensity 414
56.30°, intensity 213
50.28°, intensity 197
51.23°, intensity 188

Atomic structure:
Cell lengths 9.7872, 9.7872, 6.4706 Å; angles 90.00, 90.00, 86.42 degrees
Sites, in units of the cell vectors:
1 Cs 0.0862 0.4138 0.2500
2 Cs 0.4138 0.0862 0.7500
3 Cs 0.5862 0.9138 0.2500
4 Cs 0.9138 0.5862 0.7500
5 Hg 0.0522 0.1885 0.7716
6 Hg 0.1885 0.0522 0.2284
7 Hg 0.2292 0.7708 0.9010
8 Hg 0.2708 0.7292 0.4010
9 Hg 0.3115 0.4478 0.7284
10 Hg 0.4478 0.3115 0.2716
11 Hg 0.5522 0.6885 0.7284
12 Hg 0.6885 0.5522 0.2716
13 Hg 0.7292 0.2708 0.5990
14 Hg 0.7708 0.2292 0.0990
15 Hg 0.8115 0.9478 0.7716
16 Hg 0.9478 0.8115 0.2284
17 Pt 0.0877 0.9123 0.5971
18 Pt 0.4123 0.5877 0.0971
19 Pt 0.5877 0.4123 0.9029
20 Pt 0.9123 0.0877 0.4029

No. 2
Ti2AlTcAs: simulated powder XRD pattern (λ = 1.5418 Å (Cu Kα)), based on a structure optimized by DFT (PBE).
No peak broadening, texture or thermal motion is included.

Largest 8 diffraction maxima, in order of falling intensity, 10° ≤ 2θ ≤ 90°:
33.39°, intensity 1000
38.11°, intensity 512
56.43°, intensity 310
65.89°, intensity 253
39.99°, intensity 222
26.70°, intensity 178
55.00°, intensity 168
70.14°, intensity 157

Atomic structure:
Cell lengths 4.7222, 4.7222, 4.5093 Å; angles 90.00, 90.00, 90.00 degrees
Sites, in units of the cell vectors:
1 Ti 0.0000 0.5000 0.0000
2 Ti 0.5000 0.0000 0.0000
3 Al 0.0000 0.0000 0.0000
4 Tc 0.5000 0.5000 0.5000
5 As 0.0000 0.0000 0.5000

No. 3
Mg2In2Ir: simulated powder XRD pattern (λ = 1.5418 Å (Cu Kα)), based on a structure optimized by DFT (PBE).
No peak broadening, texture or thermal motion is included.

Largest 8 diffraction maxima, in order of falling intensity, 10° ≤ 2θ ≤ 90°:
37.41°, intensity 1000
20.16°, intensity 884
28.35°, intensity 626
40.11°, intensity 488
49.84°, intensity 424
71.10°, intensity 297
45.29°, intensity 218
16.08°, intensity 201

Atomic structure:
Cell lengths 11.4710, 11.4710, 11.4710 Å; angles 157.40, 157.40, 32.18 degrees
Sites, in units of the cell vectors:
1 Mg 0.0559 0.3059 0.7500
2 Mg 0.3059 0.0559 0.2500
3 Mg 0.6941 0.9441 0.7500
4 Mg 0.9441 0.6941 0.2500
5 In 0.1944 0.4444 0.7500
6 In 0.4444 0.1944 0.2500
7 In 0.5556 0.8056 0.7500
8 In 0.8056 0.5556 0.2500
9 Ir 0.3750 0.6250 0.7500
10 Ir 0.6250 0.3750 0.2500

No. 4
Li2MoP: simulated powder XRD pattern (λ = 1.5418 Å (Cu Kα)), based on a structure optimized by DFT (PBE).
No peak broadening, texture or thermal motion is included.

Largest 8 diffraction maxima, in order of falling intensity, 10° ≤ 2θ ≤ 90°:
18.86°, intensity 1000
22.25°, intensity 400
41.43°, intensity 338
45.41°, intensity 257
38.25°, intensity 214
36.54°, intensity 178
47.02°, intensity 167
42.65°, intensity 155

Atomic structure:
Cell lengths 5.2867, 5.2867, 2.6859 Å; angles 100.56, 100.56, 125.77 degrees
Sites, in units of the cell vectors:
1 Li 0.0000 0.5000 0.0000
2 Li 0.5000 0.0000 0.0000
3 Mo 0.0000 0.0000 0.5000
4 P 0.5000 0.5000 0.5000

No. 5
Na3SrTiNb3O12: simulated powder XRD pattern (λ = 1.5418 Å (Cu Kα)), based on a structure optimized by DFT (PBE).
No peak broadening, texture or thermal motion is included.

Largest 8 diffraction maxima, in order of falling intensity, 10° ≤ 2θ ≤ 90°:
32.07°, intensity 1000
31.96°, intensity 963
45.79°, intensity 537
22.43°, intensity 521
56.97°, intensity 409
15.86°, intensity 294
46.15°, intensity 248
22.60°, intensity 235

Atomic structure:
Cell lengths 7.8672, 7.9256, 11.1525 Å; angles 90.00, 134.70, 90.00 degrees
Sites, in units of the cell vectors:
1 Na 0.0000 0.2341 0.2500
2 Na 0.0000 0.2370 0.7500
3 Na 0.0000 0.7630 0.2500
4 Na 0.0000 0.7659 0.7500
5 Na 0.5000 0.2535 0.7500
6 Na 0.5000 0.7465 0.2500
7 Sr 0.5000 0.2291 0.2500
8 Sr 0.5000 0.7709 0.7500
9 Ti 0.5000 0.0000 0.0000
10 Ti 0.5000 0.0000 0.5000
11 Nb 0.0000 0.0000 0.0000
12 Nb 0.0000 0.0000 0.5000
13 Nb 0.0000 0.5000 0.0000
14 Nb 0.0000 0.5000 0.5000
15 Nb 0.5000 0.5000 0.0000
16 Nb 0.5000 0.5000 0.5000
17 O 0.0263 0.2511 0.9847
18 O 0.0263 0.7489 0.4847
19 O 0.2090 0.4608 0.4599
20 O 0.2090 0.5392 0.9599
21 O 0.2296 0.0226 0.2516
22 O 0.2296 0.9774 0.7516
23 O 0.2809 0.0311 0.5292
24 O 0.2809 0.9689 0.0292
25 O 0.2965 0.4893 0.2491
26 O 0.2965 0.5107 0.7491
27 O 0.4485 0.2498 0.9866
28 O 0.4485 0.7502 0.4866
29 O 0.5515 0.2498 0.5134
30 O 0.5515 0.7502 0.0134
31 O 0.7035 0.4893 0.2509
32 O 0.7035 0.5107 0.7509
33 O 0.7191 0.0311 0.9708
34 O 0.7191 0.9689 0.4708
35 O 0.7704 0.0226 0.2484
36 O 0.7704 0.9774 0.7484
37 O 0.7910 0.4608 0.0401
38 O 0.7910 0.5392 0.5401
39 O 0.9737 0.2511 0.5153
40 O 0.9737 0.7489 0.0153

No. 6
KBaAcBr6: simulated powder XRD pattern (λ = 1.5418 Å (Cu Kα)), based on a structure optimized by DFT (PBE).
No peak broadening, texture or thermal motion is included.

Largest 8 diffraction maxima, in order of falling intensity, 10° ≤ 2θ ≤ 90°:
25.12°, intensity 1000
33.86°, intensity 701
37.70°, intensity 466
17.86°, intensity 411
12.84°, intensity 321
12.37°, intensity 272
45.15°, intensity 225
51.56°, intensity 216

Atomic structure:
Cell lengths 8.2656, 8.2656, 13.7870 Å; angles 90.00, 90.00, 120.00 degrees
Sites, in units of the cell vectors:
1 K 0.0000 0.0000 0.0000
2 K 0.0000 0.0000 0.5000
3 Ba 0.3333 0.6667 0.2500
4 Ba 0.6667 0.3333 0.7500
5 Ac 0.3333 0.6667 0.7500
6 Ac 0.6667 0.3333 0.2500
7 Br 0.0187 0.3636 0.6288
8 Br 0.0187 0.6551 0.8712
9 Br 0.3449 0.3636 0.8712
10 Br 0.3449 0.9813 0.6288
11 Br 0.3636 0.0187 0.1288
12 Br 0.3636 0.3449 0.3712
13 Br 0.6364 0.6551 0.6288
14 Br 0.6364 0.9813 0.8712
15 Br 0.6551 0.0187 0.3712
16 Br 0.6551 0.6364 0.1288
17 Br 0.9813 0.3449 0.1288
18 Br 0.9813 0.6364 0.3712

No. 7
Dy2Y5Th4: simulated powder XRD pattern (λ = 1.5418 Å (Cu Kα)), based on a structure optimized by DFT (PBE).
No peak broadening, texture or thermal motion is included.

Largest 8 diffraction maxima, in order of falling intensity, 10° ≤ 2θ ≤ 90°:
30.60°, intensity 1000
35.47°, intensity 451
30.82°, intensity 325
10.51°, intensity 297
51.00°, intensity 242
35.70°, intensity 219
60.68°, intensity 192
60.96°, intensity 185

Atomic structure:
Cell lengths 11.8791, 11.8791, 8.7045 Å; angles 104.54, 104.54, 17.36 degrees
Sites, in units of the cell vectors:
1 Dy 0.0884 0.0884 0.2162
2 Dy 0.9116 0.9116 0.7838
3 Y 0.0000 0.0000 0.5000
4 Y 0.2738 0.2738 0.6893
5 Y 0.3630 0.3630 0.4037
6 Y 0.6370 0.6370 0.5963
7 Y 0.7262 0.7262 0.3107
8 Th 0.1821 0.1821 0.9527
9 Th 0.4535 0.4535 0.1356
10 Th 0.5465 0.5465 0.8644
11 Th 0.8179 0.8179 0.0473

No. 8
MnZnTeSe: simulated powder XRD pattern (λ = 1.5418 Å (Cu Kα)), based on a structure optimized by DFT (PBE).
No peak broadening, texture or thermal motion is included.

Largest 8 diffraction maxima, in order of falling intensity, 10° ≤ 2θ ≤ 90°:
25.45°, intensity 1000
42.10°, intensity 488
42.49°, intensity 460
25.76°, intensity 328
50.02°, intensity 308
49.84°, intensity 154
77.22°, intensity 149
61.36°, intensity 149

Atomic structure:
Cell lengths 7.3485, 7.3485, 7.3485 Å; angles 33.96, 33.96, 33.96 degrees
Sites, in units of the cell vectors:
1 Mn 0.0000 0.0000 0.0000
2 Zn 0.4884 0.4884 0.4884
3 Te 0.8677 0.8677 0.8677
4 Se 0.3683 0.3683 0.3683